The following is a theoretical powder diffractogram of K2PdIO6. It was derived from a crystal structure in Alexandria, relaxed with PBE, using Cu Kα (weighted mean of Kα1 and Kα2).
Peak positions follow from Bragg's law for the DFT cell and can differ from measured ones.

Structural model:
```
data_K2PdIO6
_symmetry_space_group_name_H-M 'R -3 m'
_symmetry_Int_Tables_number 166
_symmetry_space_group_name_Hall '-R 3 2"'
_cell_length_a 5.8811
_cell_length_b 5.8811
_cell_length_c 29.6149
_cell_angle_alpha 90.00
_cell_angle_beta 90.00
_cell_angle_gamma 120.00
loop_
_atom_site_label
_atom_site_type_symbol
_atom_site_fract_x
_atom_site_fract_y
_atom_site_fract_z
_atom_site_occupancy
K1 K 0.0000 0.0000 0.1221 1
K2 K 0.0000 0.0000 0.2856 1
Pd1 Pd 0.0000 0.0000 0.4072 1
I1 I 0.0000 0.0000 0.0000 1
I2 I 0.0000 0.0000 0.5000 1
O1 O 0.0229 0.5114 0.7069 1
O2 O 0.0392 0.5196 0.1261 1
```

Peak list (10 most intense, 10 to 80 degrees two-theta, in order of rising 2θ)
| hkl | 2θ/deg | I/Imax |
| --- | --- | --- |
| 1 0 1 | 17.67 | 272 |
| 0 1 2 | 18.42 | 1000 |
| 0 1 8 | 29.84 | 237 |
| 1 1 0 | 30.40 | 924 |
| 1 0 10 | 35.05 | 413 |
| 0 2 7 | 41.38 | 204 |
| 0 2 10 | 47.06 | 281 |
| 3 0 0 | 54.01 | 185 |
| 2 1 10 | 57.06 | 247 |
| 2 2 0 | 63.25 | 205 |